Calculated XRD peak list of Y4Ho4Sc3 for CuKα, from a cell relaxed with GGA-PBE.
Kinematic intensities with the Lorentz-polarization factor, no thermal factor.

Top 10 peaks for 10 to 80 degrees two-theta, low angle first:
17.9 deg, I = 29
26.2 deg, I = 25
31.8 deg, I = 15
32.6 deg, I = 40
32.7 deg, I = 100
40.5 deg, I = 14
42.4 deg, I = 14
44.2 deg, I = 13
58.4 deg, I = 12
64.3 deg, I = 28

Atomic structure:
```
data_Y4Ho4Sc3
_cell_length_a 3.4178
_cell_length_b 5.4806
_cell_length_c 17.6525
_cell_angle_alpha 81.10
_cell_angle_beta 84.45
_cell_angle_gamma 90.00
_space_group_name_H-M_alt 'P -1'
_space_group_IT_number 2
loop_
_space_group_symop_operation_xyz
'x,y,z'
'-x,-y,-z'
loop_
_atom_site_label
_atom_site_type_symbol
_atom_site_fract_x
_atom_site_fract_y
_atom_site_fract_z
Y1 Y 0.0888 0.0881 0.3219
Y2 Y 0.2315 0.7313 0.0374
Ho1 Ho 0.0449 0.5446 0.4092
Ho2 Ho 0.1777 0.1784 0.1432
Sc1 Sc 0.3651 0.3653 0.7705
Sc2 Sc 0.5000 0.0000 0.5000
```

Calculated XRD peak list of PmAlH8Ru2 for CuKα, from a cell relaxed with GGA-PBE.
Kinematic intensities with the Lorentz-polarization factor, no thermal factor.

Top 10 peaks for 10 to 80 degrees two-theta, low angle first:
23.1 deg, I = 52
31.1 deg, I = 100
35.1 deg, I = 66
39.5 deg, I = 77
51.1 deg, I = 24
53.9 deg, I = 18
64.6 deg, I = 25
66.5 deg, I = 22
68.8 deg, I = 18
71.6 deg, I = 13

Atomic structure:
```
data_PmAlH8Ru2
_cell_length_a 4.5626
_cell_length_b 4.5626
_cell_length_c 16.7489
_cell_angle_alpha 90.00
_cell_angle_beta 90.00
_cell_angle_gamma 120.00
_space_group_name_H-M_alt 'R -3 m'
_space_group_IT_number 166
_space_group_name_Hall '-R 3 2"'
loop_
_atom_site_label
_atom_site_type_symbol
_atom_site_fract_x
_atom_site_fract_y
_atom_site_fract_z
Pm1 Pm 0.0000 0.0000 0.0000
Al1 Al 0.0000 0.0000 0.5000
H1 H 0.0000 0.0000 0.3117
H2 H 0.0458 0.5229 0.0760
Ru1 Ru 0.0000 0.0000 0.2170
```